No. 1
For ZrPbO3, DFT lattice parameters and positions (GGA-PBE) gives the simulated powder XRD pattern in this record (copper Kα).
Neutral-atom scattering factors, no anomalous dispersion.

Atomic structure:
Lattice parameters (Å, degrees): 5.9962 11.9471 8.3136 90.00 90.00 90.00
Positions (direct):
Zr  0.2396  0.1237  0.2497
Zr  0.2396  0.1237  0.7503
Zr  0.2604  0.6237  0.2497
Zr  0.2604  0.6237  0.7503
Zr  0.7396  0.3763  0.2497
Zr  0.7396  0.3763  0.7503
Zr  0.7604  0.8763  0.2497
Zr  0.7604  0.8763  0.7503
Pb  0.1917  0.3754  0.0000
Pb  0.2016  0.3698  0.5000
Pb  0.2984  0.8698  0.5000
Pb  0.3083  0.8754  0.0000
Pb  0.6917  0.1246  0.0000
Pb  0.7016  0.1302  0.5000
Pb  0.7984  0.6302  0.5000
Pb  0.8083  0.6246  0.0000
O  0.0000  0.0000  0.2298
O  0.0000  0.0000  0.7702
O  0.0000  0.5000  0.2031
O  0.0000  0.5000  0.7969
O  0.0323  0.2614  0.2804
O  0.0323  0.2614  0.7196
O  0.2007  0.5958  0.5000
O  0.2241  0.6567  0.0000
O  0.2759  0.1567  0.0000
O  0.2993  0.0958  0.5000
O  0.4677  0.7614  0.2804
O  0.4677  0.7614  0.7196
O  0.5000  0.0000  0.2031
O  0.5000  0.0000  0.7969
O  0.5000  0.5000  0.2298
O  0.5000  0.5000  0.7702
O  0.5323  0.2386  0.2804
O  0.5323  0.2386  0.7196
O  0.7007  0.9042  0.5000
O  0.7241  0.8433  0.0000
O  0.7759  0.3433  0.0000
O  0.7993  0.4042  0.5000
O  0.9677  0.7386  0.2804
O  0.9677  0.7386  0.7196

Principal peaks in the range 2θ from 15° to 90°, sorted by position:
2theta	I (rel.)
20.99	10
29.80	19
29.92	27
30.14	100
37.03	14
42.73	23
43.56	17
53.10	10
53.25	22
53.70	20
62.65	14
71.67	9

***

No. 2
For Sr4SeBr, DFT lattice parameters and positions (GGA-PBE) gives the simulated powder XRD pattern in this record (copper Kα).
Neutral-atom scattering factors, no anomalous dispersion.

Atomic structure:
Lattice parameters (Å, degrees): 7.2528 7.2528 7.2528 60.00 60.00 60.00
Positions (direct):
Sr  0.3757  0.3757  0.3757
Sr  0.3757  0.3757  0.8729
Sr  0.3757  0.8729  0.3757
Sr  0.8729  0.3757  0.3757
Se  0.7500  0.7500  0.7500
Br  0.0000  0.0000  0.0000

Principal peaks in the range 2θ from 15° to 90°, sorted by position:
2theta	I (rel.)
24.55	24
28.87	100
30.18	44
34.99	6
43.21	10
45.98	36
50.32	33
59.06	13
59.81	18
70.52	23
81.22	12
81.88	8